Diffraction record for LaInSi2O6. The powder diffractogram is computed, not measured: it uses the PBE geometry in Alexandria and Cu Kα, 1.54184 Å.

Atomic structure:
```
data_LaInSi2O6
_cell_length_a 8.076
_cell_length_b 12.064
_cell_length_c 7.460
_cell_angle_alpha 90.00
_cell_angle_beta 90.48
_cell_angle_gamma 90.00
_symmetry_space_group_name_H-M 'C 1 2/c 1'
_symmetry_Int_Tables_number 15
loop_
_symmetry_equiv_pos_as_xyz
'x,y,z'
'-x,-y,-z'
'-x,y,-z+1/2'
'x,-y,z+1/2'
'x+1/2,y+1/2,z'
'-x+1/2,-y+1/2,-z'
'-x+1/2,y+1/2,-z+1/2'
'x+1/2,-y+1/2,z+1/2'
loop_
_atom_site_label
_atom_site_fract_x
_atom_site_fract_y
_atom_site_fract_z
La1 0.000 0.153 0.250
In1 0.000 0.417 0.750
Si1 0.154 0.123 0.751
O1 0.000 0.139 0.590
O2 0.212 0.281 0.248
O3 0.215 0.005 0.252
```

Largest 6 diffraction maxima, in order of rising 2θ, 10 to 90 degrees two-theta:
d = 4.691 Å, I = 47, hkl 0 2 1
d = 4.038 Å, I = 37, hkl 2 0 0
d = 3.730 Å, I = 100, hkl 0 0 2
d = 3.600 Å, I = 41, hkl 1 3 0
d = 3.068 Å, I = 51, hkl 2 2 -1
d = 3.052 Å, I = 51, hkl 2 2 1

=====

Diffraction record for Zr2Sc3Ag3. The powder diffractogram is computed, not measured: it uses the PBE geometry in Alexandria and Cu Kα, 1.54184 Å.

Atomic structure:
```
data_Zr2Sc3Ag3
_cell_length_a 3.414
_cell_length_b 4.872
_cell_length_c 20.240
_cell_angle_alpha 90.00
_cell_angle_beta 90.00
_cell_angle_gamma 90.00
_symmetry_space_group_name_H-M 'I m m m'
_symmetry_Int_Tables_number 71
_symmetry_space_group_name_Hall '-I 2 2'
loop_
_atom_site_label
_atom_site_fract_x
_atom_site_fract_y
_atom_site_fract_z
Zr1 0.000 0.000 0.241
Sc1 0.000 0.000 0.000
Sc2 0.000 0.500 0.124
Ag1 0.000 0.000 0.500
Ag2 0.000 0.500 0.380
```

Largest 6 diffraction maxima, in order of rising 2θ, 10 to 90 degrees two-theta:
d = 2.530 Å, I = 26, hkl 0 0 8
d = 2.447 Å, I = 100, hkl 1 1 4
d = 2.436 Å, I = 25, hkl 0 2 0
d = 1.755 Å, I = 16, hkl 0 2 8
d = 1.444 Å, I = 15, hkl 1 1 12
d = 1.408 Å, I = 16, hkl 1 3 4

=====

Diffraction record for PmNi4H6Au. The powder diffractogram is computed, not measured: it uses the PBE geometry in Alexandria and Cu Kα, 1.54184 Å.

Atomic structure:
```
data_PmNi4H6Au
_cell_length_a 4.3824
_cell_length_b 4.3824
_cell_length_c 6.5798
_cell_angle_alpha 90.00
_cell_angle_beta 90.00
_cell_angle_gamma 120.00
_symmetry_space_group_name_H-M 'P 6/m m m'
_symmetry_Int_Tables_number 191
_symmetry_space_group_name_Hall '-P 6 2'
loop_
_atom_site_label
_atom_site_fract_x
_atom_site_fract_y
_atom_site_fract_z
Pm1 0.0000 0.0000 0.0000
Ni1 0.3333 0.6667 0.3139
H1 0.0000 0.5000 0.1650
Au1 0.0000 0.0000 0.5000
```

Largest 6 diffraction maxima, in order of rising 2θ, 10 to 90 degrees two-theta:
d = 6.580 Å, I = 20, hkl 0 0 1
d = 3.795 Å, I = 34, hkl 1 0 0
d = 2.486 Å, I = 100, hkl 1 0 2
d = 2.191 Å, I = 68, hkl 1 1 0
d = 1.644 Å, I = 30, hkl 2 0 2
d = 1.315 Å, I = 36, hkl 2 1 2

=====

Which formula does entry 1 have?
LaInSi2O6

=====

What did the second record say?
Diffraction record for Zr2Sc3Ag3. The powder diffractogram is computed, not measured: it uses the PBE geometry in Alexandria and Cu Kα, 1.54184 Å.

Atomic structure:
```
data_Zr2Sc3Ag3
_cell_length_a 3.414
_cell_length_b 4.872
_cell_length_c 20.240
_cell_angle_alpha 90.00
_cell_angle_beta 90.00
_cell_angle_gamma 90.00
_symmetry_space_group_name_H-M 'I m m m'
_symmetry_Int_Tables_number 71
_symmetry_space_group_name_Hall '-I 2 2'
loop_
_atom_site_label
_atom_site_fract_x
_atom_site_fract_y
_atom_site_fract_z
Zr1 0.000 0.000 0.241
Sc1 0.000 0.000 0.000
Sc2 0.000 0.500 0.124
Ag1 0.000 0.000 0.500
Ag2 0.000 0.500 0.380
```

Largest 6 diffraction maxima, in order of rising 2θ, 10 to 90 degrees two-theta:
d = 2.530 Å, I = 26, hkl 0 0 8
d = 2.447 Å, I = 100, hkl 1 1 4
d = 2.436 Å, I = 25, hkl 0 2 0
d = 1.755 Å, I = 16, hkl 0 2 8
d = 1.444 Å, I = 15, hkl 1 1 12
d = 1.408 Å, I = 16, hkl 1 3 4